# 1
# ErSe2O5
Simulated PXRD pattern, a wavelength of 1.5418 Å. Input: a structure optimized by DFT (PBE).
Neutral-atom scattering factors, no anomalous dispersion.

Atomic structure:
```
data_ErSe2O5
_cell_length_a 7.345
_cell_length_b 10.651
_cell_length_c 6.822
_cell_angle_alpha 90.00
_cell_angle_beta 90.00
_cell_angle_gamma 90.00
_symmetry_space_group_name_H-M 'P b c n'
_symmetry_Int_Tables_number 60
_symmetry_space_group_name_Hall '-P 2n 2ab'
loop_
_atom_site_label
_atom_site_type_symbol
_atom_site_fract_x
_atom_site_fract_y
_atom_site_fract_z
Er1 Er 0.000 0.067 0.250
Se1 Se 0.128 0.358 0.028
O1 O 0.000 0.430 0.250
O2 O 0.155 0.066 0.539
O3 O 0.179 0.218 0.141
```

Main lines, sorted by position (2θ from 15° to 90°):
- 4.525 Å, I = 84, (1 1 1)
- 3.645 Å, I = 77, (1 2 1)
- 3.197 Å, I = 36, (1 3 0)
- 3.094 Å, I = 64, (2 1 1)
- 2.971 Å, I = 100, (1 1 2)
- 2.895 Å, I = 77, (1 3 1)
- 2.764 Å, I = 27, (2 2 1)
- 2.499 Å, I = 34, (2 0 2)
- 1.933 Å, I = 30, (3 3 1)
- 1.617 Å, I = 28, (4 0 2)

=====

# 2
# Li2Sm3Ag4
Simulated PXRD pattern, a wavelength of 1.5418 Å. Input: a structure optimized by DFT (PBE).
Neutral-atom scattering factors, no anomalous dispersion.

Atomic structure:
```
data_Li2Sm3Ag4
_cell_length_a 10.757
_cell_length_b 4.767
_cell_length_c 8.918
_cell_angle_alpha 90.00
_cell_angle_beta 116.08
_cell_angle_gamma 90.00
_symmetry_space_group_name_H-M 'C 1 2/m 1'
_symmetry_Int_Tables_number 12
_symmetry_space_group_name_Hall '-C 2y'
loop_
_atom_site_label
_atom_site_type_symbol
_atom_site_fract_x
_atom_site_fract_y
_atom_site_fract_z
Li1 Li 0.152 0.000 0.319
Sm1 Sm 0.000 0.500 0.000
Sm2 Sm 0.149 0.000 0.683
Ag1 Ag 0.077 0.500 0.399
Ag2 Ag 0.220 0.000 0.065
```

Main lines, sorted by position (2θ from 15° to 90°):
- 5.291 Å, I = 12, (2 0 -1)
- 4.119 Å, I = 13, (1 1 -1)
- 2.864 Å, I = 19, (3 1 -1)
- 2.672 Å, I = 100, (1 1 2)
- 2.658 Å, I = 22, (4 0 -1)
- 2.384 Å, I = 28, (0 2 0)
- 2.367 Å, I = 47, (3 1 -3)
- 1.775 Å, I = 13, (4 2 -1)
- 1.426 Å, I = 12, (1 3 2)
- 1.413 Å, I = 21, (4 2 2)